Computed PXRD pattern of Sm3Sb4Pt7 for a wavelength of 1.5418 Å, from a cell relaxed with GGA-PBE.
Peak positions follow from Bragg's law for the DFT cell and can differ from measured ones.

Structural model:
abc: 16.684 4.305 10.557
angles: 90.00 129.03 90.00
Space group C2/m (No. 12)
Unique sites:
Sm 0.000 0.000 0.000 x2
Sm 0.172 0.500 0.685 x4
Sb 0.141 0.000 0.409 x4
Sb 0.171 0.500 0.025 x4
Pt 0.000 0.000 0.500 x2
Pt 0.017 0.500 0.327 x4
Pt 0.123 0.000 0.844 x4
Pt 0.169 0.500 0.269 x4

Top 10 peaks for 10 to 90 degrees two-theta, in order of rising 2θ:
d 2.724, I 15.4, hkl 6 0 -3
d 2.640, I 100.0, hkl 5 1 -2
d 2.515, I 16.8, hkl 1 1 -3
d 2.219, I 38.0, hkl 3 1 -4
d 2.160, I 18.7, hkl 6 0 0
d 2.152, I 34.6, hkl 0 2 0
d 2.088, I 18.6, hkl 1 1 3
d 2.083, I 19.2, hkl 4 0 -5
d 1.525, I 12.7, hkl 6 2 0
d 1.497, I 12.5, hkl 4 2 -5